Diffraction record for VSnPbF2. The powder XRD pattern is calculated, not measured: it uses a crystal structure in Alexandria, relaxed with PBE+U and λ = 1.5418 Å (Cu Kα).
Kinematic intensities with the Lorentz-polarization factor, no thermal factor.

Atomic structure:
Lattice parameters (Å, degrees): 4.152 4.152 6.367 90.00 90.00 90.00
Fractional positions:
V: 0.000 0.000 0.000
Sn: 0.500 0.500 0.500
Pb: 0.000 0.000 0.500
F: 0.000 0.500 0.000
F: 0.500 0.000 0.000

Peak list (10 most intense, 2θ from 10° to 90°, by angle)
- 13.91 deg, 6.367 Å, I = 100.0, hkl 0 0 1
- 21.40 deg, 4.152 Å, I = 26.6, hkl 1 0 0
- 28.03 deg, 3.184 Å, I = 67.3, hkl 0 0 2
- 30.45 deg, 2.936 Å, I = 70.3, hkl 1 1 0
- 33.62 deg, 2.666 Å, I = 96.1, hkl 1 1 1
- 41.86 deg, 2.158 Å, I = 60.9, hkl 1 1 2
- 43.60 deg, 2.076 Å, I = 40.5, hkl 2 0 0
- 45.98 deg, 1.974 Å, I = 24.0, hkl 2 0 1
- 52.63 deg, 1.739 Å, I = 46.1, hkl 2 0 2
- 53.26 deg, 1.720 Å, I = 26.4, hkl 1 1 3